(1)
For La9NdCd2, a structure optimized by DFT (GGA-PBE) gives the theoretical powder diffraction line list in this record (copper Kα).
Peak positions follow from Bragg's law for the DFT cell and can differ from measured ones.

Main lines, low angle first (15 to 90 degrees two-theta):
two_theta, I (rel.)
30.16, 100
34.97, 50
50.28, 35
59.76, 42
62.71, 12
73.76, 2
73.91, 4
81.80, 17
84.32, 5
84.45, 11

Cell and atoms:
```
data_La9NdCd2
_chemical_formula_sum 'La9 Nd1 Cd2'
_symmetry_space_group_name_H-M 'P 4/m m m'
_symmetry_Int_Tables_number 123
_symmetry_space_group_name_Hall '-P 4 2'
_cell_length_a 5.129
_cell_length_b 5.129
_cell_length_c 15.415
_cell_angle_alpha 90.00
_cell_angle_beta 90.00
_cell_angle_gamma 90.00
loop_
_atom_site_label
_atom_site_type_symbol
_atom_site_fract_x
_atom_site_fract_y
_atom_site_fract_z
_atom_site_occupancy
La1 La 0.000 0.000 0.000 1
La2 La 0.000 0.000 0.335 1
La3 La 0.000 0.500 0.172 1
La4 La 0.000 0.500 0.500 1
Nd1 Nd 0.500 0.500 0.000 1
Cd1 Cd 0.500 0.500 0.339 1
```

(2)
For Re2Tc3Ru2, a structure optimized by DFT (GGA-PBE) gives the theoretical powder diffraction line list in this record (copper Kα).
Peak positions follow from Bragg's law for the DFT cell and can differ from measured ones.

Main lines, low angle first (15 to 90 degrees two-theta):
two_theta, I (rel.)
15.67, 24
39.29, 78
40.94, 100
41.44, 89
41.67, 82
42.95, 75
43.44, 87
55.39, 27
61.37, 22
64.10, 33
83.60, 23
83.75, 22

Cell and atoms:
```
data_Re2Tc3Ru2
_chemical_formula_sum 'Re2 Tc3 Ru2'
_symmetry_space_group_name_H-M 'P -1'
_symmetry_Int_Tables_number 2
_cell_length_a 2.730
_cell_length_b 6.579
_cell_length_c 6.671
_cell_angle_alpha 118.72
_cell_angle_beta 90.02
_cell_angle_gamma 101.97
loop_
_symmetry_equiv_pos_as_xyz
'x,y,z'
'-x,-y,-z'
loop_
_atom_site_label
_atom_site_type_symbol
_atom_site_fract_x
_atom_site_fract_y
_atom_site_fract_z
_atom_site_occupancy
Re1 Re 0.147 0.296 0.348 1
Tc1 Tc 0.427 0.856 0.067 1
Tc2 Tc 0.500 0.000 0.500 1
Ru1 Ru 0.205 0.409 0.792 1
```

(3)
For Ac5Nd2SmEr, a structure optimized by DFT (GGA-PBE) gives the theoretical powder diffraction line list in this record (copper Kα).
Peak positions follow from Bragg's law for the DFT cell and can differ from measured ones.

Main lines, low angle first (15 to 90 degrees two-theta):
two_theta, I (rel.)
26.88, 22
27.27, 100
29.82, 40
32.10, 7
33.62, 8
34.59, 10
34.88, 17
42.68, 8
46.53, 18
51.38, 27
58.02, 7
67.40, 7

Cell and atoms:
```
data_Ac5Nd2SmEr
_chemical_formula_sum 'Ac20 Nd8 Sm4 Er4'
_symmetry_space_group_name_H-M 'I 4/m c m'
_symmetry_Int_Tables_number 140
_symmetry_space_group_name_Hall '-I 4 2c'
_cell_length_a 8.475
_cell_length_b 8.475
_cell_length_c 20.578
_cell_angle_alpha 90.00
_cell_angle_beta 90.00
_cell_angle_gamma 90.00
loop_
_atom_site_label
_atom_site_type_symbol
_atom_site_fract_x
_atom_site_fract_y
_atom_site_fract_z
_atom_site_occupancy
Ac1 Ac 0.000 0.000 0.000 1
Ac2 Ac 0.225 0.275 0.138 1
Nd1 Nd 0.122 0.378 0.500 1
Sm1 Sm 0.000 0.000 0.250 1
Er1 Er 0.000 0.500 0.250 1
```